# Y2MoSe3O12
Simulated XRD peak list, Cu Kα X-rays. Input: the GGA+U geometry in Alexandria.
No peak broadening, texture or thermal motion is included.

Structural model:
```
data_Y2MoSe3O12
_chemical_formula_sum 'Y4 Mo2 Se6 O24'
_symmetry_space_group_name_H-M 'P -1'
_symmetry_Int_Tables_number 2
_symmetry_space_group_name_Hall '-P 1'
_cell_length_a 6.612
_cell_length_b 7.168
_cell_length_c 10.906
_cell_angle_alpha 84.90
_cell_angle_beta 73.25
_cell_angle_gamma 86.49
loop_
_atom_site_label
_atom_site_fract_x
_atom_site_fract_y
_atom_site_fract_z
_atom_site_occupancy
Y1 0.204 0.182 0.168 1
Y2 0.267 0.361 0.492 1
Mo1 0.278 0.107 0.794 1
Se1 0.201 0.660 0.216 1
Se2 0.211 0.860 0.506 1
Se3 0.343 0.636 0.857 1
O1 0.043 0.191 0.392 1
O2 0.058 0.873 0.194 1
O3 0.082 0.602 0.383 1
O4 0.099 0.497 0.149 1
O5 0.177 0.829 0.821 1
O6 0.218 0.166 0.955 1
O7 0.281 0.039 0.583 1
O8 0.306 0.327 0.701 1
O9 0.359 0.662 0.539 1
O10 0.424 0.347 0.271 1
O11 0.450 0.974 0.234 1
O12 0.451 0.726 0.961 1
```

Largest 12 diffraction maxima, by angle, 5° ≤ 2θ ≤ 70°:
(0 0 3), 25.66°, intensity 94.9; (1 2 1), 27.75°, intensity 45.4; (2 0 0), 28.22°, intensity 66.0; (1 -2 1), 29.85°, intensity 100.0; (2 0 -1), 31.82°, intensity 18.2; (2 0 3), 32.42°, intensity 29.6; (-1 2 2), 35.10°, intensity 22.0; (1 2 -2), 36.20°, intensity 20.7; (2 0 -3), 43.86°, intensity 16.4; (1 -2 4), 43.98°, intensity 18.6; (3 -2 1), 50.02°, intensity 17.8; (-3 2 2), 57.88°, intensity 18.3